This entry pairs a crystal structure of MgMnPO5 with its simulated PXRD pattern. Radiation: Cu Ka. Structure: a DFT-relaxed cell (GGA+U, Alexandria).
Intensities are scaled so that the largest is 100.

Main lines, in order of rising 2θ (2θ from 10° to 80°):
- 17.62°, rel. 22
- 28.08°, rel. 100
- 28.28°, rel. 73
- 35.27°, rel. 48
- 35.62°, rel. 27
- 53.31°, rel. 25

Structural model:
```
MgMnPO5
1.0
3.448 -4.171 0.000
3.448 4.171 0.000
-2.786 0.000 6.326
Mg Mn P O
2 2 2 10
Direct
0.181 0.819 0.500 Mg
0.819 0.181 0.000 Mg
0.423 0.440 0.694 Mn
0.440 0.423 0.194 Mn
0.059 0.766 0.936 P
0.766 0.059 0.436 P
0.054 0.155 0.597 O
0.087 0.555 0.051 O
0.155 0.054 0.097 O
0.211 0.733 0.775 O
0.333 0.514 0.436 O
0.514 0.333 0.936 O
0.555 0.087 0.551 O
0.733 0.211 0.275 O
0.753 0.762 0.328 O
0.762 0.753 0.828 O
```